(1)
This entry pairs a crystal structure of MgAl2O4 with its calculated X-ray powder pattern. Radiation: Cu Kα (weighted mean of Kα1 and Kα2). Structure: a cell relaxed with PBE.

```
data_MgAl2O4
_cell_length_a 5.7604
_cell_length_b 5.7604
_cell_length_c 56.7635
_cell_angle_alpha 90.00
_cell_angle_beta 90.00
_cell_angle_gamma 120.00
_symmetry_space_group_name_H-M 'R 3 m'
_symmetry_Int_Tables_number 160
_symmetry_space_group_name_Hall 'R 3 -2"'
loop_
_atom_site_label
_atom_site_fract_x
_atom_site_fract_y
_atom_site_fract_z
_atom_site_occupancy
Mg1 0.0000 0.0000 0.0000 1
Mg2 0.0000 0.0000 0.0609 1
Mg3 0.0000 0.0000 0.1552 1
Mg4 0.0000 0.0000 0.3115 1
Mg5 0.0000 0.0000 0.4049 1
Mg6 0.0000 0.0000 0.5609 1
Mg7 0.0000 0.0000 0.8108 1
Mg8 0.0000 0.0000 0.9051 1
Al1 0.0000 0.0000 0.2497 1
Al2 0.0000 0.0000 0.5006 1
Al3 0.0000 0.0000 0.6561 1
Al4 0.0000 0.0000 0.7508 1
Al5 0.0052 0.5026 0.2809 1
Al6 0.0056 0.5028 0.0304 1
Al7 0.0091 0.5046 0.7808 1
Al8 0.0100 0.5050 0.5307 1
O1 0.0000 0.0000 0.0955 1
O2 0.0000 0.0000 0.2167 1
O3 0.0000 0.0000 0.3455 1
O4 0.0000 0.0000 0.4672 1
O5 0.0000 0.0000 0.5962 1
O6 0.0000 0.0000 0.7180 1
O7 0.0000 0.0000 0.8455 1
O8 0.0000 0.0000 0.9638 1
O9 0.0061 0.5031 0.5950 1
O10 0.0127 0.5064 0.8450 1
O11 0.0140 0.5070 0.0950 1
O12 0.0409 0.5205 0.3443 1
O13 0.1794 0.3588 0.0481 1
O14 0.1803 0.3607 0.5488 1
O15 0.1805 0.3609 0.7986 1
O16 0.1858 0.3717 0.3004 1
```

Principal peaks in the range 2θ from 10° to 90°, by angle:
4.718 Å, 2θ 18.8, I 347, hkl 0 0 12
2.891 Å, 2θ 30.9, I 221, hkl 1 0 16
2.467 Å, 2θ 36.4, I 320, hkl 0 1 20
2.459 Å, 2θ 36.5, I 1000, hkl 1 1 12
2.040 Å, 2θ 44.4, I 752, hkl 0 2 16
1.570 Å, 2θ 58.8, I 433, hkl 0 3 12
1.446 Å, 2θ 64.5, I 503, hkl 2 0 32
1.440 Å, 2θ 64.7, I 523, hkl 2 2 0



(2)
This entry pairs a crystal structure of NaGdS2 with its calculated X-ray powder pattern. Radiation: Cu Kα (weighted mean of Kα1 and Kα2). Structure: a cell relaxed with PBE.

```
data_NaGdS2
_cell_length_a 4.0329
_cell_length_b 4.0329
_cell_length_c 20.0688
_cell_angle_alpha 90.00
_cell_angle_beta 90.00
_cell_angle_gamma 120.00
_symmetry_space_group_name_H-M 'R -3 m'
_symmetry_Int_Tables_number 166
_symmetry_space_group_name_Hall '-R 3 2"'
loop_
_atom_site_label
_atom_site_fract_x
_atom_site_fract_y
_atom_site_fract_z
_atom_site_occupancy
Na1 0.0000 0.0000 0.0000 1
Gd1 0.0000 0.0000 0.5000 1
S1 0.0000 0.0000 0.2426 1
```

Principal peaks in the range 2θ from 10° to 90°, by angle:
6.690 Å, 2θ 13.2, I 821, hkl 0 0 3
3.441 Å, 2θ 25.9, I 427, hkl 1 0 1
3.298 Å, 2θ 27.0, I 293, hkl 0 1 2
2.866 Å, 2θ 31.2, I 1000, hkl 1 0 4
2.216 Å, 2θ 40.7, I 184, hkl 1 0 7
2.037 Å, 2θ 44.5, I 353, hkl 0 1 8
2.016 Å, 2θ 45.0, I 354, hkl 1 1 0
1.931 Å, 2θ 47.1, I 207, hkl 1 1 3